[1]
Computed powder X-ray diffraction pattern
Compound: TbErIr
Radiation: Cu Kα
Structure: a DFT-relaxed cell (PBE, Alexandria)
Kinematic intensities with the Lorentz-polarization factor, no thermal factor.

Crystal structure
```
6
Lattice="3.390 -3.390 0.000 3.390 3.390 0.000 -0.014 0.000 6.772" Properties=species:S:1:pos:R:3 pbc="T T T"
Tb 3.379 3.385 5.079
Tb 3.387 -3.385 1.693
Er 3.387 0.004 1.693
Er 3.379 -0.004 5.079
Ir 1.695 1.695 0.000
Ir 1.688 -1.695 3.386
```

Peak list (10 most intense, 10° ≤ 2θ ≤ 90°, in order of falling intensity)
| two_theta | d_spacing | I/Imax |
| --- | --- | --- |
| 37.54 | 2.396 | 100 |
| 22.73 | 3.913 | 33 |
| 67.70 | 1.384 | 24 |
| 54.13 | 1.694 | 18 |
| 44.33 | 2.043 | 17 |
| 67.79 | 1.382 | 12 |
| 26.30 | 3.389 | 9 |
| 59.43 | 1.555 | 6 |
| 80.05 | 1.199 | 6 |
| 72.44 | 1.305 | 4 |

***

[2]
Computed powder X-ray diffraction pattern
Compound: TbEr2Ir2
Radiation: Cu Kα
Structure: a DFT-relaxed cell (PBE, Alexandria)
Kinematic intensities with the Lorentz-polarization factor, no thermal factor.

Crystal structure
```
10
Lattice="5.478 0.000 0.000 0.000 4.367 0.000 -1.261 0.000 10.288" Properties=species:S:1:pos:R:3 pbc="T T T"
Tb 0.175 1.092 2.986
Tb 4.042 3.275 7.302
Er 0.146 1.092 9.975
Er 1.367 1.092 6.352
Er 2.850 3.275 3.937
Er 4.071 3.275 0.313
Ir 0.259 3.275 4.889
Ir 1.294 3.275 1.446
Ir 2.923 1.092 8.842
Ir 3.958 1.092 5.400
```

Peak list (10 most intense, 10° ≤ 2θ ≤ 90°, in order of falling intensity)
| two_theta | d_spacing | I/Imax |
| --- | --- | --- |
| 35.72 | 2.514 | 100 |
| 33.22 | 2.697 | 89 |
| 41.35 | 2.184 | 70 |
| 38.66 | 2.329 | 67 |
| 41.18 | 2.192 | 57 |
| 28.23 | 3.161 | 50 |
| 40.95 | 2.204 | 47 |
| 35.42 | 2.534 | 45 |
| 35.15 | 2.553 | 35 |
| 19.37 | 4.583 | 28 |

***

[3]
Computed powder X-ray diffraction pattern
Compound: TbEr3Ir2
Radiation: Cu Kα
Structure: a DFT-relaxed cell (PBE, Alexandria)
Kinematic intensities with the Lorentz-polarization factor, no thermal factor.

Crystal structure
```
12
Lattice="4.588 0.000 0.000 0.000 8.710 0.000 0.000 0.000 7.202" Properties=species:S:1:pos:R:3 pbc="T T T"
Tb 0.000 0.751 0.000
Tb 0.000 7.959 3.601
Er 0.000 2.880 4.549
Er 0.000 5.829 0.948
Er 2.294 1.499 2.510
Er 2.294 3.600 7.054
Er 2.294 5.110 3.453
Er 2.294 7.211 6.111
Ir 0.000 3.005 1.689
Ir 0.000 5.704 5.290
Ir 2.294 1.370 5.362
Ir 2.294 7.339 1.761
```

Peak list (10 most intense, 10° ≤ 2θ ≤ 90°, in order of falling intensity)
| two_theta | d_spacing | I/Imax |
| --- | --- | --- |
| 33.26 | 2.694 | 100 |
| 30.91 | 2.893 | 75 |
| 36.63 | 2.453 | 55 |
| 39.27 | 2.294 | 52 |
| 44.69 | 2.028 | 31 |
| 31.58 | 2.833 | 27 |
| 43.81 | 2.066 | 25 |
| 56.49 | 1.629 | 22 |
| 43.03 | 2.102 | 21 |
| 69.83 | 1.347 | 21 |

***

[4]
Computed powder X-ray diffraction pattern
Compound: Er4TeIr
Radiation: Cu Kα
Structure: a DFT-relaxed cell (PBE, Alexandria)
Kinematic intensities with the Lorentz-polarization factor, no thermal factor.

Crystal structure
```
24
Lattice="8.089 0.000 0.000 0.000 3.969 0.000 0.000 0.000 19.314" Properties=species:S:1:pos:R:3 pbc="T T T"
Er 0.026 0.992 1.312
Er 0.325 2.977 4.149
Er 1.122 2.977 8.733
Er 1.157 2.977 12.494
Er 2.888 0.992 2.837
Er 2.923 0.992 18.390
Er 3.720 0.992 13.805
Er 4.018 2.977 10.969
Er 4.071 0.992 8.345
Er 4.369 2.977 5.508
Er 5.166 2.977 0.924
Er 5.201 2.977 16.476
Er 6.932 0.992 6.819
Er 6.967 0.992 10.581
Er 7.764 0.992 15.165
Er 8.063 2.977 18.002
Te 1.938 0.992 5.994
Te 2.107 2.977 15.650
Te 5.983 0.992 3.663
Te 6.151 2.977 13.320
Ir 1.956 0.992 10.596
Ir 2.088 2.977 0.939
Ir 6.001 0.992 18.375
Ir 6.133 2.977 8.718
```

Peak list (10 most intense, 10° ≤ 2θ ≤ 90°, in order of falling intensity)
| two_theta | d_spacing | I/Imax |
| --- | --- | --- |
| 31.20 | 2.867 | 100 |
| 34.59 | 2.593 | 85 |
| 32.34 | 2.768 | 53 |
| 45.72 | 1.984 | 40 |
| 33.56 | 2.670 | 38 |
| 39.45 | 2.284 | 36 |
| 38.23 | 2.354 | 33 |
| 31.58 | 2.833 | 30 |
| 32.04 | 2.793 | 26 |
| 40.72 | 2.216 | 25 |

***

[5]
Computed powder X-ray diffraction pattern
Compound: Er4TeIr2
Radiation: Cu Kα
Structure: a DFT-relaxed cell (PBE, Alexandria)
Kinematic intensities with the Lorentz-polarization factor, no thermal factor.

Crystal structure
```
14
Lattice="0.000 5.978 5.990 5.973 0.000 5.990 5.973 5.978 0.000" Properties=species:S:1:pos:R:3 pbc="T T T"
Er 9.195 5.744 5.754
Er 2.752 2.755 2.759
Er 6.208 6.211 2.759
Er 6.208 2.755 6.226
Er 5.739 9.200 5.754
Er 5.739 5.744 9.221
Er 9.195 9.200 9.221
Er 2.752 6.211 6.226
Te 4.480 4.483 4.493
Te 7.467 7.472 7.488
Ir 0.000 0.000 0.000
Ir 2.987 2.989 0.000
Ir 2.987 0.000 2.995
Ir 0.000 2.989 2.995
```

Peak list (10 most intense, 10° ≤ 2θ ≤ 90°, in order of falling intensity)
| two_theta | d_spacing | I/Imax |
| --- | --- | --- |
| 42.77 | 2.114 | 100 |
| 29.88 | 2.990 | 89 |
| 12.82 | 6.906 | 60 |
| 39.11 | 2.303 | 48 |
| 24.69 | 3.606 | 45 |
| 39.18 | 2.299 | 24 |
| 53.05 | 1.726 | 17 |
| 21.01 | 4.229 | 17 |
| 59.35 | 1.557 | 15 |
| 44.83 | 2.022 | 14 |

***

[6]
Computed powder X-ray diffraction pattern
Compound: ErThIr
Radiation: Cu Kα
Structure: a DFT-relaxed cell (PBE, Alexandria)
Kinematic intensities with the Lorentz-polarization factor, no thermal factor.

Crystal structure
```
6
Lattice="5.870 0.000 0.000 0.000 4.263 0.000 -2.590 0.000 6.794" Properties=species:S:1:pos:R:3 pbc="T T T"
Er -0.619 0.000 1.709
Er 3.898 0.000 5.085
Th 0.959 2.132 5.032
Th 2.320 2.132 1.762
Ir -1.295 2.132 3.397
Ir 2.935 0.000 0.000
```

Peak list (10 most intense, 10° ≤ 2θ ≤ 90°, in order of falling intensity)
| two_theta | d_spacing | I/Imax |
| --- | --- | --- |
| 33.12 | 2.705 | 100 |
| 41.70 | 2.166 | 53 |
| 32.66 | 2.742 | 52 |
| 52.26 | 1.751 | 42 |
| 54.54 | 1.683 | 28 |
| 16.77 | 5.286 | 27 |
| 42.40 | 2.132 | 26 |
| 24.65 | 3.611 | 25 |
| 26.48 | 3.366 | 21 |
| 37.20 | 2.417 | 13 |